# SrHfRe2
Computed powder diffraction line list, CuKα. Input: a structure optimized by DFT (PBE).

Crystal structure
```
data_SrHfRe2
_symmetry_space_group_name_H-M 'F -4 3 m'
_symmetry_Int_Tables_number 216
_symmetry_space_group_name_Hall 'F -4 2 3'
_cell_length_a 6.7471
_cell_length_b 6.7471
_cell_length_c 6.7471
_cell_angle_alpha 90.00
_cell_angle_beta 90.00
_cell_angle_gamma 90.00
loop_
_atom_site_label
_atom_site_fract_x
_atom_site_fract_y
_atom_site_fract_z
Sr1 0.0000 0.0000 0.0000
Hf1 0.2500 0.2500 0.2500
Re1 0.0000 0.0000 0.5000
Re2 0.2500 0.2500 0.7500
```

Main lines, by angle (10° ≤ 2θ ≤ 90°):
hkl 1 1 1, 22.83°, d 3.895, I 5.4
hkl 2 0 0, 26.42°, d 3.374, I 2.4
hkl 2 2 0, 37.71°, d 2.385, I 100.0
hkl 3 1 1, 44.54°, d 2.034, I 2.9
hkl 4 0 0, 54.39°, d 1.687, I 17.5
hkl 3 3 1, 59.74°, d 1.548, I 1.3
hkl 4 2 0, 61.46°, d 1.509, I 1.0
hkl 4 2 2, 68.08°, d 1.377, I 35.9
hkl 4 4 0, 80.53°, d 1.193, I 11.4
hkl 5 3 1, 85.06°, d 1.140, I 1.0

***

# RbMg14Ga
Computed powder diffraction line list, CuKα. Input: a structure optimized by DFT (PBE).

Crystal structure
```
data_RbMg14Ga
_symmetry_space_group_name_H-M 'P -6 m 2'
_symmetry_Int_Tables_number 187
_symmetry_space_group_name_Hall 'P -6 2'
_cell_length_a 6.5084
_cell_length_b 6.5084
_cell_length_c 10.7142
_cell_angle_alpha 90.00
_cell_angle_beta 90.00
_cell_angle_gamma 120.00
loop_
_atom_site_label
_atom_site_fract_x
_atom_site_fract_y
_atom_site_fract_z
Rb1 0.0000 0.0000 0.0000
Mg1 0.0062 0.5031 0.0000
Mg2 0.1698 0.3396 0.2658
Mg3 0.5018 0.0036 0.5000
Mg4 0.6667 0.3333 0.2444
Ga1 0.0000 0.0000 0.5000
```

Main lines, by angle (10° ≤ 2θ ≤ 90°):
hkl 1 0 0, 15.72°, d 5.636, I 20.1
hkl 1 0 2, 22.90°, d 3.883, I 19.8
hkl 2 0 0, 31.75°, d 2.818, I 26.6
hkl 0 0 4, 33.45°, d 2.679, I 25.9
hkl 2 0 2, 36.01°, d 2.494, I 100.0
hkl 2 0 4, 46.79°, d 1.942, I 17.2
hkl 2 2 0, 56.56°, d 1.627, I 17.1
hkl 2 0 6, 61.47°, d 1.508, I 18.2
hkl 2 2 4, 67.33°, d 1.391, I 18.8
hkl 4 0 2, 68.90°, d 1.363, I 13.8

***

# SrCrGe2
Computed powder diffraction line list, CuKα. Input: a structure optimized by DFT (PBE).

Crystal structure
```
data_SrCrGe2
_symmetry_space_group_name_H-M 'P b a m'
_symmetry_Int_Tables_number 55
_symmetry_space_group_name_Hall '-P 2 2ab'
_cell_length_a 10.6388
_cell_length_b 11.4164
_cell_length_c 8.5650
_cell_angle_alpha 90.00
_cell_angle_beta 90.00
_cell_angle_gamma 90.00
loop_
_atom_site_label
_atom_site_fract_x
_atom_site_fract_y
_atom_site_fract_z
Sr1 0.1720 0.0458 0.2386
Sr2 0.1745 0.3185 0.5000
Cr1 0.0000 0.5000 0.2547
Cr2 0.0805 0.7451 0.2618
Ge1 0.0343 0.8817 0.5000
Ge2 0.0389 0.8388 0.0000
Ge3 0.0874 0.6042 0.0000
Ge4 0.1140 0.6016 0.5000
Ge5 0.1498 0.3233 0.1505
```

Main lines, by angle (10° ≤ 2θ ≤ 90°):
hkl 1 4 0, 32.48°, d 2.757, I 40.6
hkl 3 1 2, 33.74°, d 2.657, I 65.5
hkl 3 3 0, 34.60°, d 2.593, I 100.0
hkl 2 3 2, 35.80°, d 2.508, I 56.9
hkl 2 1 3, 36.58°, d 2.457, I 19.0
hkl 0 4 2, 37.88°, d 2.375, I 40.2
hkl 0 0 4, 42.20°, d 2.141, I 22.5
hkl 4 1 4, 55.68°, d 1.651, I 15.7
hkl 4 5 2, 57.37°, d 1.606, I 14.7
hkl 2 7 0, 59.26°, d 1.559, I 15.2

***

# Hf5Ge3
Computed powder diffraction line list, CuKα. Input: a structure optimized by DFT (PBE).

Crystal structure
```
data_Hf5Ge3
_symmetry_space_group_name_H-M 'P 63/m c m'
_symmetry_Int_Tables_number 193
_symmetry_space_group_name_Hall '-P 6c 2'
_cell_length_a 7.9934
_cell_length_b 7.9934
_cell_length_c 5.5673
_cell_angle_alpha 90.00
_cell_angle_beta 90.00
_cell_angle_gamma 120.00
loop_
_atom_site_label
_atom_site_fract_x
_atom_site_fract_y
_atom_site_fract_z
Hf1 0.0000 0.2525 0.2500
Hf2 0.3333 0.6667 0.0000
Ge1 0.0000 0.3897 0.7500
```

Main lines, by angle (10° ≤ 2θ ≤ 90°):
hkl 2 0 0, 25.74°, d 3.461, I 22.0
hkl 1 1 1, 27.47°, d 3.247, I 21.0
hkl 2 1 0, 34.27°, d 2.616, I 43.1
hkl 1 0 2, 34.74°, d 2.583, I 31.0
hkl 2 1 1, 38.00°, d 2.368, I 100.0
hkl 3 0 0, 39.03°, d 2.308, I 58.2
hkl 1 1 2, 39.45°, d 2.284, I 95.0
hkl 2 2 2, 56.70°, d 1.623, I 26.8
hkl 2 1 3, 61.23°, d 1.514, I 24.9
hkl 4 0 2, 63.27°, d 1.470, I 24.3